GaCo3: theoretical powder diffractogram (copper Kα), based on DFT lattice parameters and positions (GGA-PBE).
No peak broadening, texture or thermal motion is included.

Structural model:
```
8
Lattice="2.640 0.000 0.000 0.000 8.228 0.000 0.000 0.000 4.253" Properties=species:S:1:pos:R:3 pbc="T T T"
Ga 0.000 0.000 0.000
Ga 1.320 4.114 2.127
Co 0.000 2.009 2.680
Co 0.000 4.114 4.221
Co 0.000 6.219 2.680
Co 1.320 0.000 2.094
Co 1.320 2.105 0.553
Co 1.320 6.122 0.553
```

Main lines, by angle (15 to 90 degrees two-theta):
- hkl 1 0 1, 2θ = 40.21°, I 15
- hkl 0 0 2, 2θ = 42.51°, I 17
- hkl 0 4 0, 2θ = 44.02°, I 34
- hkl 1 2 1, 2θ = 46.10°, I 100
- hkl 0 2 2, 2θ = 48.17°, I 29
- hkl 1 4 1, 2θ = 61.13°, I 8
- hkl 0 4 2, 2θ = 62.86°, I 10
- hkl 1 0 3, 2θ = 76.23°, I 11
- hkl 1 6 1, 2θ = 82.44°, I 16
- hkl 2 4 0, 2θ = 87.90°, I 8